(1)
Simulated powder X-ray diffraction pattern
Compound: LiNbNiO4
Radiation: copper Kα
Structure: a cell relaxed with GGA+U

Top 8 peaks for 2θ from 10° to 90°, low angle first:
| d/Å | two_theta | I_rel |
| --- | --- | --- |
| 5.036 | 17.61 | 42 |
| 4.957 | 17.89 | 100 |
| 2.627 | 34.13 | 35 |
| 2.602 | 34.47 | 15 |
| 2.593 | 34.59 | 15 |
| 2.518 | 35.66 | 15 |
| 2.163 | 41.75 | 72 |
| 1.529 | 60.54 | 30 |

Atomic structure:
Cell: 6.1183 6.1183 6.1183 Å, 120.72 119.17 90.10°
Fractional positions:
Li 0.3889 0.1389 0.2500
Li 0.6111 0.8611 0.7500
Nb 0.0000 0.5000 0.5000
Nb 0.5000 0.5000 0.0000
Ni 0.0000 0.0000 0.5000
Ni 0.0000 0.5000 0.0000
O 0.2072 0.7285 0.4787
O 0.2502 0.2715 0.9787
O 0.2513 0.2782 0.5269
O 0.2513 0.7244 0.9731
O 0.7487 0.2756 0.0269
O 0.7487 0.7218 0.4731
O 0.7498 0.7285 0.0213
O 0.7928 0.2715 0.5213

***

(2)
Simulated powder X-ray diffraction pattern
Compound: Li6NbNi3P6O24
Radiation: copper Kα
Structure: a cell relaxed with GGA+U

Top 8 peaks for 2θ from 10° to 90°, low angle first:
| d/Å | two_theta | I_rel |
| --- | --- | --- |
| 6.226 | 14.23 | 49 |
| 4.426 | 20.06 | 48 |
| 4.396 | 20.20 | 100 |
| 4.365 | 20.35 | 36 |
| 3.767 | 23.62 | 34 |
| 3.756 | 23.69 | 96 |
| 3.117 | 28.63 | 43 |
| 2.550 | 35.20 | 39 |

Atomic structure:
Cell: 8.7302 8.7829 8.7905 Å, 60.55 60.38 60.67°
Fractional positions:
Li 0.0000 0.0000 0.0000
Li 0.0934 0.4854 0.9627
Li 0.2910 0.8642 0.6619
Li 0.5696 0.6780 0.2938
Li 0.7298 0.3370 0.1334
Li 0.9050 0.1550 0.4820
Nb 0.1106 0.6920 0.5033
Ni 0.4026 0.9880 0.7926
Ni 0.6142 0.1994 0.0032
Ni 0.9064 0.4908 0.2993
P 0.0074 0.2850 0.6936
P 0.2148 0.0913 0.1824
P 0.3060 0.5906 0.0917
P 0.5101 0.3777 0.6084
P 0.7027 0.8878 0.3968
P 0.7982 0.8031 0.9034
O 0.0358 0.2644 0.2008
O 0.0752 0.4503 0.6327
O 0.1484 0.5358 0.1211
O 0.1628 0.9376 0.3820
O 0.1640 0.0980 0.7228
O 0.2244 0.0415 0.0330
O 0.2429 0.6530 0.2623
O 0.3102 0.7623 0.9160
O 0.3564 0.5754 0.5548
O 0.3915 0.1074 0.1569
O 0.4563 0.2230 0.6364
O 0.4912 0.4342 0.0896
O 0.5194 0.9200 0.5535
O 0.5338 0.3607 0.7759
O 0.6354 0.8457 0.8542
O 0.6809 0.3910 0.4252
O 0.7278 0.7298 0.3475
O 0.7301 0.0613 0.2258
O 0.8028 0.9618 0.9277
O 0.8084 0.6194 0.0728
O 0.8517 0.2822 0.8830
O 0.8710 0.8196 0.4664
O 0.9518 0.3148 0.5391
O 0.9939 0.7437 0.7466

***

(3)
Simulated powder X-ray diffraction pattern
Compound: Li4Nb3Ni3Sb2O16
Radiation: copper Kα
Structure: a cell relaxed with GGA+U

Top 8 peaks for 2θ from 10° to 90°, low angle first:
| d/Å | two_theta | I_rel |
| --- | --- | --- |
| 5.078 | 17.46 | 40 |
| 4.727 | 18.77 | 56 |
| 4.696 | 18.90 | 100 |
| 3.666 | 24.28 | 39 |
| 2.855 | 31.33 | 61 |
| 2.630 | 34.09 | 60 |
| 2.562 | 35.02 | 52 |
| 2.086 | 43.38 | 42 |

Atomic structure:
Cell: 6.1491 6.1491 10.1567 Å, 90.04 90.04 59.46°
Fractional positions:
Li 0.0000 0.0000 0.0000
Li 0.0020 0.0020 0.5217
Li 0.3352 0.3352 0.6146
Li 0.6659 0.6659 0.0941
Nb 0.1631 0.6624 0.2840
Nb 0.6624 0.1631 0.2840
Nb 0.8195 0.8195 0.7836
Ni 0.1658 0.1658 0.2806
Ni 0.3353 0.8252 0.7978
Ni 0.8252 0.3353 0.7978
Sb 0.3226 0.3226 0.0031
Sb 0.6451 0.6451 0.5268
O 0.0378 0.4882 0.1559
O 0.1570 0.6628 0.9105
O 0.1597 0.1597 0.9105
O 0.2932 0.8335 0.3978
O 0.3342 0.3342 0.3929
O 0.4790 0.4790 0.1597
O 0.4882 0.0378 0.1559
O 0.5128 0.5128 0.6688
O 0.5217 0.9732 0.6686
O 0.6628 0.1570 0.9105
O 0.6738 0.6738 0.9029
O 0.8335 0.2932 0.3978
O 0.8367 0.8367 0.3860
O 0.9732 0.5217 0.6686
O 0.9916 0.9916 0.7072
O 0.9974 0.9974 0.1800

***

(4)
Simulated powder X-ray diffraction pattern
Compound: Li4Nb3Ni3Sn2O16
Radiation: copper Kα
Structure: a cell relaxed with GGA+U

Top 8 peaks for 2θ from 10° to 90°, low angle first:
| d/Å | two_theta | I_rel |
| --- | --- | --- |
| 4.666 | 19.02 | 100 |
| 3.622 | 24.58 | 36 |
| 2.809 | 31.86 | 42 |
| 2.600 | 34.49 | 59 |
| 2.553 | 35.16 | 55 |
| 2.066 | 43.81 | 39 |
| 1.589 | 58.03 | 38 |
| 1.525 | 60.74 | 31 |

Atomic structure:
Cell: 6.0997 6.0997 9.9500 Å, 90.08 90.08 60.00°
Fractional positions:
Li 0.0000 0.0000 0.0000
Li 0.0028 0.0028 0.5134
Li 0.3289 0.3289 0.6120
Li 0.6610 0.6610 0.0902
Nb 0.1662 0.6432 0.2835
Nb 0.6432 0.1662 0.2835
Nb 0.8208 0.8208 0.7816
Ni 0.1603 0.1603 0.2845
Ni 0.3335 0.8209 0.7848
Ni 0.8209 0.3335 0.7848
Sn 0.3156 0.3156 0.9944
Sn 0.6491 0.6491 0.5177
O 0.0334 0.4805 0.1582
O 0.1463 0.6615 0.8997
O 0.1498 0.1498 0.8998
O 0.3173 0.8169 0.3956
O 0.3248 0.3248 0.4036
O 0.4759 0.4759 0.1513
O 0.4805 0.0334 0.1582
O 0.5087 0.5087 0.6576
O 0.5203 0.9606 0.6519
O 0.6615 0.1463 0.8997
O 0.6693 0.6693 0.8969
O 0.8169 0.3173 0.3956
O 0.8223 0.8223 0.3928
O 0.9606 0.5203 0.6519
O 0.9880 0.9880 0.6932
O 0.9895 0.9895 0.1877